Theoretical X-ray powder pattern
Compound: SmPu3Se4
Radiation: copper Kα
Structure: a PBE-relaxed structure
Peak positions follow from Bragg's law for the DFT cell and can differ from measured ones.

The 8 most intense peaks (10° ≤ 2θ ≤ 90°), in order of rising 2θ:
d/Å	two_theta	I (rel.)
3.392	26.28	39
2.937	30.43	100
2.077	43.58	76
1.771	51.60	20
1.696	54.08	27
1.469	63.33	13
1.314	71.88	35
1.199	80.02	26

Atomic structure:
```
SmPu3Se4
1.0
5.874 0.000 0.000
0.000 5.874 0.000
0.000 0.000 5.874
Sm Pu Se
1 3 4
Direct
0.000 0.000 0.000 Sm
0.000 0.500 0.500 Pu
0.500 0.000 0.500 Pu
0.500 0.500 0.000 Pu
0.000 0.000 0.500 Se
0.000 0.500 0.000 Se
0.500 0.000 0.000 Se
0.500 0.500 0.500 Se
```

---

Theoretical X-ray powder pattern
Compound: PmHo3H8
Radiation: copper Kα
Structure: a PBE-relaxed structure
Peak positions follow from Bragg's law for the DFT cell and can differ from measured ones.

The 8 most intense peaks (10° ≤ 2θ ≤ 90°), in order of rising 2θ:
d/Å	two_theta	I (rel.)
3.006	29.72	100
2.603	34.45	49
1.841	49.52	38
1.570	58.83	44
1.503	61.72	12
1.302	72.64	6
1.194	80.40	18
1.164	82.94	16

Atomic structure:
```
PmHo3H8
1.0
5.206 0.000 0.000
0.000 5.206 0.000
0.000 0.000 5.206
Pm Ho H
1 3 8
Direct
0.000 0.000 0.000 Pm
0.000 0.500 0.500 Ho
0.500 0.000 0.500 Ho
0.500 0.500 0.000 Ho
0.257 0.257 0.257 H
0.257 0.257 0.743 H
0.257 0.743 0.257 H
0.257 0.743 0.743 H
0.743 0.257 0.257 H
0.743 0.257 0.743 H
0.743 0.743 0.257 H
0.743 0.743 0.743 H
```

---

Theoretical X-ray powder pattern
Compound: Ba12In6Ga
Radiation: copper Kα
Structure: a PBE-relaxed structure
Peak positions follow from Bragg's law for the DFT cell and can differ from measured ones.

The 8 most intense peaks (10° ≤ 2θ ≤ 90°), in order of rising 2θ:
d/Å	two_theta	I (rel.)
4.808	18.45	61
4.166	21.33	35
3.496	25.48	27
3.321	26.85	35
2.951	30.29	95
2.940	30.40	100
2.083	43.45	30
1.699	53.97	27

Atomic structure:
```
Ba12In6Ga
1.0
7.780 4.492 4.827
-7.780 4.492 4.827
0.000 -8.983 4.827
Ba In Ga
12 6 1
Direct
0.048 0.683 0.938 Ba
0.062 0.952 0.317 Ba
0.178 0.435 0.584 Ba
0.317 0.062 0.952 Ba
0.416 0.822 0.565 Ba
0.435 0.584 0.178 Ba
0.565 0.416 0.822 Ba
0.584 0.178 0.435 Ba
0.683 0.938 0.048 Ba
0.822 0.565 0.416 Ba
0.938 0.048 0.683 Ba
0.952 0.317 0.062 Ba
0.137 0.616 0.299 In
0.299 0.137 0.616 In
0.384 0.701 0.863 In
0.616 0.299 0.137 In
0.701 0.863 0.384 In
0.863 0.384 0.701 In
0.000 0.000 0.000 Ga
```

---

Theoretical X-ray powder pattern
Compound: Tb2Y2S3
Radiation: copper Kα
Structure: a PBE-relaxed structure
Peak positions follow from Bragg's law for the DFT cell and can differ from measured ones.

The 8 most intense peaks (10° ≤ 2θ ≤ 90°), in order of rising 2θ:
d/Å	two_theta	I (rel.)
3.168	28.17	86
2.743	32.64	100
1.942	46.78	36
1.937	46.90	35
1.657	55.47	13
1.654	55.57	17
1.583	58.31	18
1.226	77.90	16

Atomic structure:
```
Tb2Y2S3
1.0
6.437 -1.938 0.000
6.437 1.938 0.000
-1.203 0.000 6.618
Tb Y S
2 2 3
Direct
0.125 0.125 0.377 Tb
0.875 0.875 0.623 Tb
0.374 0.374 0.124 Y
0.626 0.626 0.876 Y
0.000 0.000 0.000 S
0.252 0.252 0.752 S
0.748 0.748 0.248 S
```

---

Theoretical X-ray powder pattern
Compound: PmBeGe2
Radiation: copper Kα
Structure: a PBE-relaxed structure
Peak positions follow from Bragg's law for the DFT cell and can differ from measured ones.

The 8 most intense peaks (10° ≤ 2θ ≤ 90°), in order of rising 2θ:
d/Å	two_theta	I (rel.)
2.788	32.11	100
2.754	32.51	78
2.573	34.87	49
2.535	35.41	50
2.423	37.10	35
2.303	39.11	36
2.075	43.61	49
1.957	46.40	32

Atomic structure:
```
PmBeGe2
1.0
4.151 0.000 0.000
-1.995 5.657 0.000
-0.092 -1.065 6.443
Pm Be Ge
2 2 4
Direct
0.157 0.316 0.149 Pm
0.843 0.684 0.851 Pm
0.385 0.792 0.536 Be
0.615 0.208 0.464 Be
0.183 0.354 0.625 Ge
0.462 0.896 0.183 Ge
0.538 0.104 0.817 Ge
0.817 0.646 0.375 Ge
```